No. 1
Diffraction record for ZnI2. The PXRD pattern is simulated, not measured: it uses the PBE geometry in OQMD and Cu Kα (λ = 1.5418 Å).
Intensities are scaled so that the largest is 100.

Crystal structure
abc: 7.3739 8.8671 7.1296
angles: 90.00 90.00 90.00
Space group Pna2_1 (No. 33)
Inequivalent atoms, fractional coordinates:
1 Zn 0.0781 0.1252 0.0000
2 I 0.0751 0.1248 0.6264
3 I 0.0828 0.6281 0.6242

The 10 most intense peaks (15 to 90 degrees two-theta), sorted by position:
- 2θ = 23.4°, 3.800 Å, I = 49.0
- 2θ = 24.1°, 3.687 Å, I = 30.3
- 2θ = 25.0°, 3.565 Å, I = 60.4
- 2θ = 26.6°, 3.353 Å, I = 100.0
- 2θ = 27.2°, 3.275 Å, I = 42.7
- 2θ = 34.5°, 2.600 Å, I = 23.4
- 2θ = 40.7°, 2.217 Å, I = 24.9
- 2θ = 42.0°, 2.150 Å, I = 44.9
- 2θ = 45.0°, 2.015 Å, I = 51.8
- 2θ = 49.5°, 1.841 Å, I = 38.3

No. 2
Diffraction record for BaScCuTe2Se. The PXRD pattern is simulated, not measured: it uses the PBE geometry in OQMD and Cu Kα (λ = 1.5418 Å).
Intensities are scaled so that the largest is 100.

Crystal structure
abc: 4.2270 14.7713 10.5929
angles: 90.00 90.00 90.00
Space group Cmcm (No. 63)
Inequivalent atoms, fractional coordinates:
1 Ba 0.0000 0.2349 0.2500
2 Sc 0.0000 0.5000 0.0000
3 Cu 0.0000 0.0267 0.7500
4 Te 0.0000 0.1341 0.5531
5 Se 0.0000 0.4383 0.7500

The 10 most intense peaks (15 to 90 degrees two-theta), sorted by position:
- 2θ = 27.8°, 3.207 Å, I = 46.9
- 2θ = 28.0°, 3.186 Å, I = 49.4
- 2θ = 29.1°, 3.070 Å, I = 100.0
- 2θ = 29.5°, 3.029 Å, I = 64.1
- 2θ = 32.6°, 2.743 Å, I = 36.3
- 2θ = 33.6°, 2.665 Å, I = 52.0
- 2θ = 33.8°, 2.648 Å, I = 31.4
- 2θ = 41.0°, 2.202 Å, I = 37.1
- 2θ = 42.8°, 2.114 Å, I = 36.1
- 2θ = 51.7°, 1.767 Å, I = 42.6

No. 3
Diffraction record for TlReBr4O. The PXRD pattern is simulated, not measured: it uses the PBE geometry in OQMD and Cu Kα (λ = 1.5418 Å).
Intensities are scaled so that the largest is 100.

Crystal structure
abc: 13.4532 3.7897 7.8921
angles: 90.00 107.94 90.00
Space group C2 (No. 5)
Inequivalent atoms, fractional coordinates:
1 Tl 0.0000 0.0000 0.0000
2 Re 0.0000 0.4995 0.5000
3 Br 0.1370 0.4954 0.3422
4 Br 0.1427 0.4947 0.7979
5 O 0.0000 0.9987 0.5000

The 10 most intense peaks (15 to 90 degrees two-theta), sorted by position:
- 2θ = 26.3°, 3.389 Å, I = 100.0
- 2θ = 28.2°, 3.164 Å, I = 69.5
- 2θ = 30.6°, 2.919 Å, I = 90.4
- 2θ = 31.1°, 2.875 Å, I = 89.2
- 2θ = 31.4°, 2.850 Å, I = 40.5
- 2θ = 31.6°, 2.833 Å, I = 38.2
- 2θ = 32.8°, 2.733 Å, I = 40.7
- 2θ = 42.4°, 2.133 Å, I = 47.9
- 2θ = 48.0°, 1.895 Å, I = 37.5
- 2θ = 53.6°, 1.711 Å, I = 33.5